# 1
Diffraction record for NdHo2Tl4. The XRD peak list is computed, not measured: it uses a structure optimized by DFT (PBE) and Cu Kα, 1.54184 Å.

Top 10 peaks for 10° ≤ 2θ ≤ 90°, low angle first:
2theta, Rel. int.
23.16, 9
32.99, 54
33.93, 100
47.34, 20
50.12, 8
59.51, 41
61.31, 19
71.41, 12
78.81, 9
79.34, 9

Structure:
a = 6.538 Å, b = 6.538 Å, c = 6.538 Å
α = 108.06°, β = 108.06°, γ = 112.34°
Positions (direct):
Nd1 0.000 0.000 0.000
Ho1 0.000 0.500 0.500
Ho2 0.500 0.000 0.500
Tl1 0.000 0.000 0.500
Tl2 0.000 0.500 0.000
Tl3 0.500 0.000 0.000
Tl4 0.500 0.500 0.500


# 2
Diffraction record for LaPr2Er4Tm. The XRD peak list is computed, not measured: it uses a structure optimized by DFT (PBE) and Cu Kα, 1.54184 Å.

Top 10 peaks for 10° ≤ 2θ ≤ 90°, low angle first:
2theta, Rel. int.
30.53, 100
30.69, 33
35.39, 45
35.56, 22
50.98, 24
51.14, 16
60.47, 19
60.74, 24
63.55, 12
85.86, 11

Structure:
a = 7.170 Å, b = 7.170 Å, c = 12.349 Å
α = 106.64°, β = 106.64°, γ = 60.20°
Positions (direct):
La1 0.000 0.000 0.000
La2 0.000 0.000 0.500
Pr1 0.000 0.500 0.000
Pr2 0.500 0.000 0.000
Pr3 0.500 0.500 0.000
Pr4 0.500 0.500 0.500
Er1 0.249 0.749 0.748
Er2 0.250 0.250 0.253
Er3 0.250 0.250 0.747
Er4 0.251 0.751 0.252
Er5 0.749 0.249 0.748
Er6 0.750 0.750 0.253
Er7 0.750 0.750 0.747
Er8 0.751 0.251 0.252
Tm1 0.000 0.500 0.500
Tm2 0.500 0.000 0.500